(1)
For Na2ZrF6, a DFT-relaxed cell (PBE, Alexandria) gives the simulated X-ray diffraction stick pattern in this record (Cu Kα).
Neutral-atom scattering factors, no anomalous dispersion.

Peak list (6 most intense, 15° ≤ 2θ ≤ 90°, by intensity)
2θ (°)  intensity
27.07  100
17.07  93
29.04  90
22.94  81
18.24  68
47.11  55

Crystal structure
Cell lengths 5.6423, 5.4815, 16.3802 Å; angles 90.00, 95.95, 90.00 degrees
Fractional positions:
Na (0.1705, 0.0008, 0.0917)
Na (0.1705, 0.4992, 0.5917)
Na (0.2554, 0.5363, 0.2524)
Na (0.2554, 0.9637, 0.7524)
Na (0.7446, 0.0363, 0.2476)
Na (0.7446, 0.4637, 0.7476)
Na (0.8295, 0.5008, 0.4083)
Na (0.8295, 0.9992, 0.9083)
Zr (0.3246, 0.0536, 0.4016)
Zr (0.3246, 0.4464, 0.9016)
Zr (0.6754, 0.5536, 0.0984)
Zr (0.6754, 0.9464, 0.5984)
F (0.0715, 0.2190, 0.3170)
F (0.0715, 0.2810, 0.8170)
F (0.1041, 0.7297, 0.8636)
F (0.1041, 0.7703, 0.3636)
F (0.1567, 0.2224, 0.9755)
F (0.1567, 0.2776, 0.4755)
F (0.3671, 0.6709, 0.0118)
F (0.3671, 0.8291, 0.5118)
F (0.4401, 0.1836, 0.6489)
F (0.4401, 0.3164, 0.1489)
F (0.4769, 0.7129, 0.6655)
F (0.4769, 0.7871, 0.1655)
F (0.5231, 0.2129, 0.8345)
F (0.5231, 0.2871, 0.3345)
F (0.5599, 0.6836, 0.8511)
F (0.5599, 0.8164, 0.3511)
F (0.6329, 0.1709, 0.4882)
F (0.6329, 0.3291, 0.9882)
F (0.8433, 0.7224, 0.5245)
F (0.8433, 0.7776, 0.0245)
F (0.8959, 0.2297, 0.6364)
F (0.8959, 0.2703, 0.1364)
F (0.9285, 0.7190, 0.1830)
F (0.9285, 0.7810, 0.6830)

***

(2)
For Na2ZrF6, a DFT-relaxed cell (PBE, Alexandria) gives the simulated X-ray diffraction stick pattern in this record (Cu Kα).
Neutral-atom scattering factors, no anomalous dispersion.

Peak list (6 most intense, 15° ≤ 2θ ≤ 90°, by intensity)
2θ (°)  intensity
24.27  100
19.14  93
47.24  77
31.15  48
17.15  38
59.86  38

Crystal structure
Cell lengths 5.1868, 5.1868, 10.3419 Å; angles 90.00, 90.00, 90.00 degrees
Fractional positions:
Na (0.0000, 0.0000, 0.1636)
Na (0.0000, 0.0000, 0.8364)
Na (0.5000, 0.5000, 0.3364)
Na (0.5000, 0.5000, 0.6636)
Zr (0.0000, 0.0000, 0.5000)
Zr (0.5000, 0.5000, 0.0000)
F (0.1877, 0.1877, 0.3536)
F (0.1877, 0.1877, 0.6464)
F (0.2205, 0.2205, 0.0000)
F (0.2795, 0.7205, 0.5000)
F (0.3123, 0.6877, 0.1464)
F (0.3123, 0.6877, 0.8536)
F (0.6877, 0.3123, 0.1464)
F (0.6877, 0.3123, 0.8536)
F (0.7205, 0.2795, 0.5000)
F (0.7795, 0.7795, 0.0000)
F (0.8123, 0.8123, 0.3536)
F (0.8123, 0.8123, 0.6464)

***

(3)
For Nb2F5, a DFT-relaxed cell (PBE, Alexandria) gives the simulated X-ray diffraction stick pattern in this record (Cu Kα).
Neutral-atom scattering factors, no anomalous dispersion.

Peak list (6 most intense, 15° ≤ 2θ ≤ 90°, by intensity)
2θ (°)  intensity
15.00  100
43.34  62
26.14  47
40.42  46
62.97  36
30.27  20

Crystal structure
Cell lengths 7.2314, 7.2314, 7.2314 Å; angles 109.47, 109.47, 109.47 degrees
Fractional positions:
Nb (0.0000, 0.2395, 0.2395)
Nb (0.0000, 0.7605, 0.7605)
Nb (0.2395, 0.0000, 0.2395)
Nb (0.2395, 0.2395, 0.0000)
Nb (0.7605, 0.0000, 0.7605)
Nb (0.7605, 0.7605, 0.0000)
F (0.0000, 0.2503, 0.7497)
F (0.0000, 0.5000, 0.5000)
F (0.0000, 0.7497, 0.2503)
F (0.2503, 0.0000, 0.7497)
F (0.2503, 0.2503, 0.5005)
F (0.2503, 0.5005, 0.2503)
F (0.2503, 0.7497, 0.0000)
F (0.4995, 0.7497, 0.7497)
F (0.5000, 0.0000, 0.5000)
F (0.5000, 0.5000, 0.0000)
F (0.5005, 0.2503, 0.2503)
F (0.7497, 0.0000, 0.2503)
F (0.7497, 0.2503, 0.0000)
F (0.7497, 0.4995, 0.7497)
F (0.7497, 0.7497, 0.4995)

***

(4)
For Nb2F13, a DFT-relaxed cell (PBE, Alexandria) gives the simulated X-ray diffraction stick pattern in this record (Cu Kα).
Neutral-atom scattering factors, no anomalous dispersion.

Peak list (6 most intense, 15° ≤ 2θ ≤ 90°, by intensity)
2θ (°)  intensity
20.65  100
21.80  64
22.69  61
17.15  47
25.43  46
25.76  42

Crystal structure
Cell lengths 5.2542, 6.4183, 7.1573 Å; angles 71.47, 87.79, 79.84 degrees
Fractional positions:
Nb (0.1582, 0.3741, 0.3288)
Nb (0.8418, 0.6259, 0.6712)
F (0.0000, 0.5000, 0.0000)
F (0.0209, 0.1422, 0.2905)
F (0.0548, 0.6954, 0.1773)
F (0.1887, 0.5759, 0.5210)
F (0.3369, 0.1765, 0.5550)
F (0.3703, 0.0554, 0.9712)
F (0.4697, 0.3750, 0.1944)
F (0.5303, 0.6250, 0.8056)
F (0.6297, 0.9446, 0.0288)
F (0.6631, 0.8235, 0.4450)
F (0.8113, 0.4241, 0.4790)
F (0.9452, 0.3046, 0.8227)
F (0.9791, 0.8578, 0.7095)